# 1
Starting from a GGA-PBE-relaxed structure, the powder X-ray diffraction pattern of HfZr6Pa2 was computed for Cu Kα.
Kinematic intensities with the Lorentz-polarization factor, no thermal factor.

Crystal structure
Cell lengths 19.0010, 9.2211, 5.1491 Å; angles 90.00, 105.66, 90.00 degrees
Space group C2/c (No. 15)
Asymmetric unit:
Hf: 0.0000 0.1004 0.2500 x4
Zr: 0.0840 0.1936 0.8341 x8
Zr: 0.0835 0.3986 0.3344 x8
Zr: 0.2114 0.3964 0.9617 x8
Pa: 0.1866 0.1548 0.4367 x8

Top 12 peaks for 2θ = 10–80°, by angle:
d/Å, I/Imax
8.234, 14
4.496, 20
3.401, 11
2.993, 20
2.575, 40
2.536, 16
2.524, 22
2.504, 100
2.305, 12
1.717, 10
1.508, 8
1.473, 19


# 2
Starting from a GGA-PBE-relaxed structure, the powder X-ray diffraction pattern of TbGa2IO8 was computed for Cu Kα.
Kinematic intensities with the Lorentz-polarization factor, no thermal factor.

Crystal structure
Cell lengths 7.0237, 6.3797, 6.6997 Å; angles 90.00, 97.98, 90.00 degrees
Space group C2/m (No. 12)
Asymmetric unit:
Tb: 0.0000 0.0000 0.0000 x2
Ga: 0.0478 0.5000 0.2219 x4
I: 0.0000 0.0000 0.5000 x2
O: 0.0071 0.2018 0.7158 x8
O: 0.1772 0.5000 0.9878 x4
O: 0.2303 0.5000 0.4703 x4

Top 12 peaks for 2θ = 10–80°, by angle:
d/Å, I/Imax
4.702, 49
3.478, 100
3.190, 89
2.839, 96
2.598, 74
2.351, 35
2.299, 24
1.941, 26
1.766, 31
1.721, 29
1.703, 28
1.471, 29


# 3
Starting from a GGA-PBE-relaxed structure, the powder X-ray diffraction pattern of Rb3CdHg4 was computed for Cu Kα.
Kinematic intensities with the Lorentz-polarization factor, no thermal factor.

Crystal structure
Cell lengths 6.9197, 7.2562, 7.5915 Å; angles 116.70, 106.18, 94.17 degrees
Space group P1 (No. 1)
Asymmetric unit:
Rb: 0.0000 0.0000 0.0000 x1
Rb: 0.3268 0.9209 0.5472 x1
Rb: 0.6634 0.4605 0.2730 x1
Cd: 0.6631 0.4608 0.7729 x1
Hg: 0.1166 0.4913 0.9851 x1
Hg: 0.2092 0.4296 0.5623 x1
Hg: 0.4968 0.8232 0.0483 x1
Hg: 0.8292 0.0975 0.4982 x1

Top 12 peaks for 2θ = 10–80°, by angle:
d/Å, I/Imax
6.274, 100
5.148, 62
3.402, 34
3.353, 39
3.250, 51
3.177, 41
3.154, 36
2.958, 85
2.864, 43
2.641, 52
2.570, 56
2.545, 32